Record 1
Diffraction record for Si2RhO. The XRD peak list is simulated, not measured: it uses DFT lattice parameters and positions (GGA-PBE) and λ = 1.5418 Å (Cu Kα).
Lines closer than 0.1° are merged.

```
data_Si2RhO
_chemical_formula_sum 'Si8 Rh4 O4'
_symmetry_space_group_name_H-M 'I -4 2 d'
_symmetry_Int_Tables_number 122
_symmetry_space_group_name_Hall 'I -4 2bw'
_cell_length_a 5.107
_cell_length_b 5.107
_cell_length_c 9.113
_cell_angle_alpha 90.00
_cell_angle_beta 90.00
_cell_angle_gamma 90.00
loop_
_atom_site_label
_atom_site_type_symbol
_atom_site_fract_x
_atom_site_fract_y
_atom_site_fract_z
Si1 Si 0.206 0.250 0.125
Rh1 Rh 0.000 0.000 0.500
O1 O 0.000 0.000 0.000
```

Main lines, by angle (2θ from 5° to 70°):
2theta  intensity  (hkl)
19.93  50.9  1 0 1
31.61  100.0  1 1 2
34.35  21.9  1 0 3
35.14  9.9  2 0 0
40.73  28.7  2 1 1
49.96  10.2  2 1 3
50.55  20.3  2 2 0
53.94  34.8  2 0 4
60.86  26.5  3 1 2
66.83  13.1  1 1 6



Record 2
Diffraction record for Si2SnRhO. The XRD peak list is simulated, not measured: it uses DFT lattice parameters and positions (GGA-PBE) and λ = 1.5418 Å (Cu Kα).
Lines closer than 0.1° are merged.

```
data_Si2SnRhO
_chemical_formula_sum 'Si2 Sn1 Rh1 O1'
_symmetry_space_group_name_H-M 'P m m 2'
_symmetry_Int_Tables_number 25
_cell_length_a 2.952
_cell_length_b 5.994
_cell_length_c 6.015
_cell_angle_alpha 90.00
_cell_angle_beta 90.00
_cell_angle_gamma 90.00
loop_
_symmetry_equiv_pos_as_xyz
'x,y,z'
'-x,-y,z'
'-x,y,z'
'x,-y,z'
loop_
_atom_site_label
_atom_site_type_symbol
_atom_site_fract_x
_atom_site_fract_y
_atom_site_fract_z
Si1 Si 0.000 0.225 0.000
Sn1 Sn 0.000 0.000 0.386
Rh1 Rh 0.500 0.000 0.773
O1 O 0.000 0.500 0.987
```

Main lines, by angle (2θ from 5° to 70°):
2theta  intensity  (hkl)
14.78  100.0  0 1 0
20.92  14.4  0 1 1
29.81  13.7  0 2 0
33.35  25.1  0 1 2
33.82  19.0  1 0 1
37.09  40.7  1 1 1
42.59  11.1  0 2 2
42.93  12.9  1 0 2
45.68  35.8  1 2 1
57.79  13.2  1 3 1



Record 3
Diffraction record for Si2SnRhO. The XRD peak list is simulated, not measured: it uses DFT lattice parameters and positions (GGA-PBE) and λ = 1.5418 Å (Cu Kα).
Lines closer than 0.1° are merged.

```
data_Si2SnRhO
_chemical_formula_sum 'Si4 Sn2 Rh2 O2'
_symmetry_space_group_name_H-M 'A m m 2'
_symmetry_Int_Tables_number 38
_cell_length_a 2.945
_cell_length_b 6.608
_cell_length_c 10.181
_cell_angle_alpha 90.00
_cell_angle_beta 90.00
_cell_angle_gamma 90.00
loop_
_symmetry_equiv_pos_as_xyz
'x,y,z'
'-x,-y,z'
'-x,y,z'
'x,-y,z'
'x,y+1/2,z+1/2'
'-x,-y+1/2,z+1/2'
'-x,y+1/2,z+1/2'
'x,-y+1/2,z+1/2'
loop_
_atom_site_label
_atom_site_type_symbol
_atom_site_fract_x
_atom_site_fract_y
_atom_site_fract_z
Si1 Si 0.000 0.222 0.000
Sn1 Sn 0.000 0.000 0.223
Rh1 Rh 0.500 0.000 0.448
O1 O 0.000 0.000 0.918
```

Main lines, by angle (2θ from 5° to 70°):
2theta  intensity  (hkl)
15.99  100.0  0 1 1
26.99  22.0  0 2 0
29.59  12.5  0 1 3
34.49  35.1  1 1 1
35.24  36.1  0 0 4
41.97  11.3  0 3 1
42.90  30.9  1 1 3
44.92  54.5  1 2 2
59.02  12.1  1 3 3
67.59  11.5  0 4 4



Record 4
Diffraction record for Si2SnRhO. The XRD peak list is simulated, not measured: it uses DFT lattice parameters and positions (GGA-PBE) and λ = 1.5418 Å (Cu Kα).
Lines closer than 0.1° are merged.

```
data_Si2SnRhO
_chemical_formula_sum 'Si2 Sn1 Rh1 O1'
_symmetry_space_group_name_H-M 'P 1'
_symmetry_Int_Tables_number 1
_cell_length_a 2.872
_cell_length_b 5.566
_cell_length_c 5.831
_cell_angle_alpha 67.13
_cell_angle_beta 76.08
_cell_angle_gamma 75.17
loop_
_symmetry_equiv_pos_as_xyz
'x,y,z'
loop_
_atom_site_label
_atom_site_type_symbol
_atom_site_fract_x
_atom_site_fract_y
_atom_site_fract_z
Si1 Si 0.000 0.000 0.000
Si2 Si 0.186 0.527 0.102
Sn1 Sn 0.805 0.842 0.547
Rh1 Rh 0.428 0.357 0.785
O1 O 0.642 0.439 0.282
```

Main lines, by angle (2θ from 5° to 70°):
2theta  intensity  (hkl)
16.71  73.2  0 0 1
19.61  61.0  0 1 1
28.35  39.2  0 1 -1
32.19  94.0  0 1 2
33.62  29.5  0 2 1
34.32  100.0  1 1 0
35.61  43.6  0 2 0
40.23  70.9  1 2 1
43.36  44.4  1 1 -1
43.58  43.8  1 0 2



Record 5
Diffraction record for Si2SnRhO. The XRD peak list is simulated, not measured: it uses DFT lattice parameters and positions (GGA-PBE) and λ = 1.5418 Å (Cu Kα).
Lines closer than 0.1° are merged.

```
data_Si2SnRhO
_chemical_formula_sum 'Si2 Sn1 Rh1 O1'
_symmetry_space_group_name_H-M 'P 1 m 1'
_symmetry_Int_Tables_number 6
_cell_length_a 4.830
_cell_length_b 3.053
_cell_length_c 5.771
_cell_angle_alpha 90.00
_cell_angle_beta 107.86
_cell_angle_gamma 90.00
loop_
_symmetry_equiv_pos_as_xyz
'x,y,z'
'x,-y,z'
loop_
_atom_site_label
_atom_site_type_symbol
_atom_site_fract_x
_atom_site_fract_y
_atom_site_fract_z
Si1 Si 0.000 0.000 0.000
Si2 Si 0.275 0.000 0.707
Sn1 Sn 0.664 0.000 0.366
Rh1 Rh 0.173 0.500 0.348
O1 O 0.622 0.000 0.912
```

Main lines, by angle (2θ from 5° to 70°):
2theta  intensity  (hkl)
16.13  100.0  0 0 1
32.60  30.8  0 0 2
35.29  42.4  1 1 0
36.32  37.3  1 1 -1
37.50  29.0  2 0 -1
39.19  20.0  2 0 0
41.58  44.8  1 1 1
44.24  42.8  1 1 -2
49.80  13.5  0 0 3
53.06  13.7  1 1 2



Record 6
Diffraction record for Si2SnRhO. The XRD peak list is simulated, not measured: it uses DFT lattice parameters and positions (GGA-PBE) and λ = 1.5418 Å (Cu Kα).
Lines closer than 0.1° are merged.

```
data_Si2SnRhO
_chemical_formula_sum 'Si2 Sn1 Rh1 O1'
_symmetry_space_group_name_H-M 'P 1 m 1'
_symmetry_Int_Tables_number 6
_cell_length_a 5.630
_cell_length_b 2.952
_cell_length_c 5.881
_cell_angle_alpha 90.00
_cell_angle_beta 101.45
_cell_angle_gamma 90.00
loop_
_symmetry_equiv_pos_as_xyz
'x,y,z'
'x,-y,z'
loop_
_atom_site_label
_atom_site_type_symbol
_atom_site_fract_x
_atom_site_fract_y
_atom_site_fract_z
Si1 Si 0.000 0.000 0.000
Si2 Si 0.432 0.000 0.763
Sn1 Sn 0.015 0.000 0.451
Rh1 Rh 0.756 0.500 0.725
O1 O 0.298 0.000 0.994
```

Main lines, by angle (2θ from 5° to 70°):
2theta  intensity  (hkl)
15.37  96.6  0 0 1
16.06  100.0  1 0 0
24.45  83.9  1 0 1
32.05  42.0  1 0 -2
34.46  55.8  1 1 0
36.52  67.8  1 1 -1
40.53  28.0  2 0 -2
43.91  48.5  0 1 2
44.97  51.9  2 1 0
50.08  31.4  2 0 2



Record 7
Diffraction record for Si2SnRhO. The XRD peak list is simulated, not measured: it uses DFT lattice parameters and positions (GGA-PBE) and λ = 1.5418 Å (Cu Kα).
Lines closer than 0.1° are merged.

```
data_Si2SnRhO
_chemical_formula_sum 'Si4 Sn2 Rh2 O2'
_symmetry_space_group_name_H-M 'C 1 m 1'
_symmetry_Int_Tables_number 8
_cell_length_a 8.461
_cell_length_b 3.383
_cell_length_c 6.207
_cell_angle_alpha 90.00
_cell_angle_beta 108.31
_cell_angle_gamma 90.00
loop_
_symmetry_equiv_pos_as_xyz
'x,y,z'
'x,-y,z'
'x+1/2,y+1/2,z'
'x+1/2,-y+1/2,z'
loop_
_atom_site_label
_atom_site_type_symbol
_atom_site_fract_x
_atom_site_fract_y
_atom_site_fract_z
Si1 Si 0.000 0.000 0.000
Si2 Si 0.195 0.000 0.727
Sn1 Sn 0.483 0.000 0.358
Rh1 Rh 0.347 0.500 0.620
O1 O 0.201 0.000 0.008
```

Main lines, by angle (2θ from 5° to 70°):
2theta  intensity  (hkl)
15.04  57.7  0 0 1
22.13  29.6  2 0 0
30.63  52.4  2 0 1
30.77  100.0  1 1 -1
31.52  21.7  2 0 -2
39.44  37.6  1 1 -2
41.98  39.7  3 1 -1
43.09  35.9  3 1 0
44.83  29.5  1 1 2
46.01  16.7  4 0 -2



Record 8
Diffraction record for Si2SnRhO. The XRD peak list is simulated, not measured: it uses DFT lattice parameters and positions (GGA-PBE) and λ = 1.5418 Å (Cu Kα).
Lines closer than 0.1° are merged.

```
data_Si2SnRhO
_chemical_formula_sum 'Si2 Sn1 Rh1 O1'
_symmetry_space_group_name_H-M 'P 1 m 1'
_symmetry_Int_Tables_number 6
_cell_length_a 4.690
_cell_length_b 4.284
_cell_length_c 4.842
_cell_angle_alpha 90.00
_cell_angle_beta 118.35
_cell_angle_gamma 90.00
loop_
_symmetry_equiv_pos_as_xyz
'x,y,z'
'x,-y,z'
loop_
_atom_site_label
_atom_site_type_symbol
_atom_site_fract_x
_atom_site_fract_y
_atom_site_fract_z
Si1 Si 0.000 0.000 0.000
Si2 Si 0.330 0.000 0.576
Sn1 Sn 0.588 0.500 0.008
Rh1 Rh 0.232 0.500 0.304
O1 O 0.021 0.000 0.668
```

Main lines, by angle (2θ from 5° to 70°):
2theta  intensity  (hkl)
20.73  99.4  0 1 0
20.84  54.4  0 0 1
21.73  59.6  1 0 -1
29.57  100.0  0 1 1
30.07  56.3  1 1 0
38.39  69.5  2 0 -1
42.19  64.7  0 2 0
42.62  92.4  1 1 1
42.94  92.1  1 1 -2
44.03  44.3  2 1 -1



Record 9
Diffraction record for SmRhO4. The XRD peak list is simulated, not measured: it uses DFT lattice parameters and positions (GGA-PBE) and λ = 1.5418 Å (Cu Kα).
Lines closer than 0.1° are merged.

```
data_SmRhO4
_chemical_formula_sum 'Sm4 Rh4 O16'
_symmetry_space_group_name_H-M 'C 1 2/c 1'
_symmetry_Int_Tables_number 15
_cell_length_a 7.201
_cell_length_b 8.756
_cell_length_c 6.086
_cell_angle_alpha 90.00
_cell_angle_beta 115.23
_cell_angle_gamma 90.00
loop_
_symmetry_equiv_pos_as_xyz
'x,y,z'
'-x,-y,-z'
'-x,y,-z+1/2'
'x,-y,z+1/2'
'x+1/2,y+1/2,z'
'-x+1/2,-y+1/2,-z'
'-x+1/2,y+1/2,-z+1/2'
'x+1/2,-y+1/2,z+1/2'
loop_
_atom_site_label
_atom_site_type_symbol
_atom_site_fract_x
_atom_site_fract_y
_atom_site_fract_z
Sm1 Sm 0.000 0.129 0.250
Rh1 Rh 0.000 0.493 0.750
O1 O 0.020 0.349 0.497
O2 O 0.205 0.007 0.099
```

Main lines, by angle (2θ from 5° to 70°):
2theta  intensity  (hkl)
19.00  82.0  1 1 -1
20.28  47.2  0 2 0
26.00  85.7  0 2 1
27.38  100.0  2 0 0
32.47  84.9  2 0 -2
32.53  41.7  0 0 2
33.65  54.0  1 3 0
42.94  69.5  1 3 -2
51.61  40.4  4 0 -2
51.78  40.7  2 0 2



Record 10
Diffraction record for SrSm2RhO5. The XRD peak list is simulated, not measured: it uses DFT lattice parameters and positions (GGA-PBE) and λ = 1.5418 Å (Cu Kα).
Lines closer than 0.1° are merged.

```
data_SrSm2RhO5
_chemical_formula_sum 'Sr2 Sm4 Rh2 O10'
_symmetry_space_group_name_H-M 'P 4/m b m'
_symmetry_Int_Tables_number 127
_symmetry_space_group_name_Hall '-P 4 2ab'
_cell_length_a 6.680
_cell_length_b 6.680
_cell_length_c 5.865
_cell_angle_alpha 90.00
_cell_angle_beta 90.00
_cell_angle_gamma 90.00
loop_
_atom_site_label
_atom_site_type_symbol
_atom_site_fract_x
_atom_site_fract_y
_atom_site_fract_z
Sr1 Sr 0.000 0.000 0.000
Sm1 Sm 0.173 0.327 0.500
Rh1 Rh 0.000 0.500 0.000
O1 O 0.000 0.000 0.500
O2 O 0.143 0.643 0.251
```

Main lines, by angle (2θ from 5° to 70°):
2theta  intensity  (hkl)
15.11  16.8  0 0 1
29.91  24.1  2 1 0
30.48  41.4  0 0 2
30.81  100.0  2 0 1
33.67  61.7  2 1 1
38.10  22.5  2 2 0
43.23  45.9  2 1 2
45.65  16.2  3 1 1
49.56  19.9  2 2 2
54.38  20.2  2 0 3



Record 11
Diffraction record for Sr3Rh2O6. The XRD peak list is simulated, not measured: it uses DFT lattice parameters and positions (GGA-PBE) and λ = 1.5418 Å (Cu Kα).
Lines closer than 0.1° are merged.

```
data_Sr3Rh2O6
_chemical_formula_sum 'Sr6 Rh4 O12'
_symmetry_space_group_name_H-M 'I 4/m m m'
_symmetry_Int_Tables_number 139
_symmetry_space_group_name_Hall '-I 4 2'
_cell_length_a 3.999
_cell_length_b 3.999
_cell_length_c 20.206
_cell_angle_alpha 90.00
_cell_angle_beta 90.00
_cell_angle_gamma 90.00
loop_
_atom_site_label
_atom_site_type_symbol
_atom_site_fract_x
_atom_site_fract_y
_atom_site_fract_z
Sr1 Sr 0.000 0.000 0.000
Sr2 Sr 0.000 0.000 0.180
Rh1 Rh 0.000 0.000 0.400
O1 O 0.000 0.000 0.300
O2 O 0.000 0.500 0.083
```

Main lines, by angle (2θ from 5° to 70°):
2theta  intensity  (hkl)
17.56  12.7  0 0 4
31.47  100.0  1 0 5
31.64  57.5  1 1 0
44.86  9.6  0 0 10
45.36  34.4  2 0 0
46.38  10.2  1 0 9
55.93  14.6  1 1 10
56.25  38.6  2 1 5
65.70  11.5  2 0 10
66.09  10.4  2 2 0



Record 12
Diffraction record for Sr3Rh16O32. The XRD peak list is simulated, not measured: it uses DFT lattice parameters and positions (GGA-PBE) and λ = 1.5418 Å (Cu Kα).
Lines closer than 0.1° are merged.

```
data_Sr3Rh16O32
_chemical_formula_sum 'Sr3 Rh16 O32'
_symmetry_space_group_name_H-M 'P 1'
_symmetry_Int_Tables_number 1
_cell_length_a 8.211
_cell_length_b 8.750
_cell_length_c 9.846
_cell_angle_alpha 67.07
_cell_angle_beta 72.42
_cell_angle_gamma 77.61
loop_
_symmetry_equiv_pos_as_xyz
'x,y,z'
loop_
_atom_site_label
_atom_site_type_symbol
_atom_site_fract_x
_atom_site_fract_y
_atom_site_fract_z
Sr1 Sr 0.000 0.000 0.000
Sr2 Sr 0.289 0.363 0.681
Sr3 Sr 0.650 0.648 0.351
Rh1 Rh 0.019 0.295 0.171
Rh2 Rh 0.130 0.856 0.680
Rh3 Rh 0.194 0.875 0.307
Rh4 Rh 0.206 0.525 0.297
Rh5 Rh 0.268 0.547 0.923
Rh6 Rh 0.380 0.106 0.430
Rh7 Rh 0.443 0.126 0.055
Rh8 Rh 0.455 0.777 0.045
Rh9 Rh 0.517 0.795 0.671
Rh10 Rh 0.630 0.355 0.180
Rh11 Rh 0.694 0.377 0.804
Rh12 Rh 0.702 0.026 0.795
Rh13 Rh 0.769 0.044 0.420
Rh14 Rh 0.879 0.607 0.931
Rh15 Rh 0.944 0.626 0.555
Rh16 Rh 0.954 0.274 0.547
O1 O 0.070 0.740 0.914
O2 O 0.080 0.414 0.937
O3 O 0.185 0.102 0.137
O4 O 0.194 0.437 0.147
O5 O 0.196 0.771 0.153
O6 O 0.205 0.965 0.456
O7 O 0.206 0.626 0.453
O8 O 0.212 0.297 0.465
O9 O 0.321 0.987 0.662
O10 O 0.327 0.660 0.689
O11 O 0.437 0.355 0.888
O12 O 0.443 0.689 0.895
O13 O 0.444 0.024 0.901
O14 O 0.452 0.880 0.199
O15 O 0.454 0.215 0.205
O16 O 0.463 0.548 0.215
O17 O 0.571 0.236 0.411
O18 O 0.578 0.911 0.438
O19 O 0.687 0.604 0.634
O20 O 0.691 0.938 0.645
O21 O 0.695 0.272 0.652
O22 O 0.701 0.131 0.948
O23 O 0.705 0.465 0.955
O24 O 0.711 0.798 0.963
O25 O 0.819 0.488 0.164
O26 O 0.830 0.163 0.187
O27 O 0.938 0.853 0.388
O28 O 0.942 0.186 0.396
O29 O 0.947 0.520 0.403
O30 O 0.955 0.715 0.706
O31 O 0.956 0.378 0.700
O32 O 0.961 0.047 0.717
```

Main lines, by angle (2θ from 5° to 70°):
2theta  intensity  (hkl)
19.09  53.4  1 1 2
27.84  71.2  2 -1 1
29.27  67.2  1 2 3
30.79  32.7  2 1 3
33.85  35.2  2 -2 0
34.28  75.4  2 0 -2
35.20  100.0  0 2 -2
36.11  73.1  3 2 1
50.32  35.1  4 3 3
57.60  39.1  2 -3 3



Record 13
Diffraction record for Sr2RhO4. The XRD peak list is simulated, not measured: it uses DFT lattice parameters and positions (GGA-PBE) and λ = 1.5418 Å (Cu Kα).
Lines closer than 0.1° are merged.

```
data_Sr2RhO4
_chemical_formula_sum 'Sr16 Rh8 O32'
_symmetry_space_group_name_H-M 'I 41/a c d'
_symmetry_Int_Tables_number 142
_cell_length_a 5.504
_cell_length_b 5.504
_cell_length_c 26.241
_cell_angle_alpha 90.00
_cell_angle_beta 90.00
_cell_angle_gamma 90.00
loop_
_symmetry_equiv_pos_as_xyz
'x,y,z'
'-x,-y,-z'
'-y+1/4,x+3/4,z+1/4'
'y+1/4,-x+3/4,-z+1/4'
'-x+1/2,-y,z+1/2'
'x+1/2,y,-z+1/2'
'y+1/4,-x+1/4,z+3/4'
'-y+1/4,x+1/4,-z+3/4'
'x,-y,-z+1/2'
'-x,y,z+1/2'
'-y+1/4,-x+1/4,-z+1/4'
'y+1/4,x+1/4,z+1/4'
'-x+1/2,y,-z'
'x+1/2,-y,z'
'y+1/4,x+3/4,-z+3/4'
'-y+1/4,-x+3/4,z+3/4'
'x+1/2,y+1/2,z+1/2'
'-x+1/2,-y+1/2,-z+1/2'
'-y+3/4,x+1/4,z+3/4'
'y+3/4,-x+1/4,-z+3/4'
'-x,-y+1/2,z'
'x,y+1/2,-z'
'y+3/4,-x+3/4,z+1/4'
'-y+3/4,x+3/4,-z+1/4'
'x+1/2,-y+1/2,-z'
'-x+1/2,y+1/2,z'
'-y+3/4,-x+3/4,-z+3/4'
'y+3/4,x+3/4,z+3/4'
'-x,y+1/2,-z+1/2'
'x,-y+1/2,z+1/2'
'y+3/4,x+1/4,-z+1/4'
'-y+3/4,-x+1/4,z+1/4'
loop_
_atom_site_label
_atom_site_type_symbol
_atom_site_fract_x
_atom_site_fract_y
_atom_site_fract_z
Sr1 Sr 0.000 0.250 0.050
Rh1 Rh 0.000 0.250 0.375
O1 O 0.000 0.250 0.295
O2 O 0.193 0.057 0.125
```

Main lines, by angle (2θ from 5° to 70°):
2theta  intensity  (hkl)
13.50  18.3  0 0 4
30.75  100.0  1 1 6
32.53  66.1  2 0 0
41.29  19.1  0 0 12
41.50  10.5  1 1 10
46.67  30.5  2 2 0
53.52  23.7  2 0 12
56.94  39.8  3 1 6
64.05  17.5  2 2 12
68.14  8.6  4 0 0